Structure and computed XRD peak list of AcTb5PmSm2 (DFT lattice parameters and positions (PBE); Cu Kα, 1.54184 Å).
Neutral-atom scattering factors, no anomalous dispersion.

Atomic structure:
a b c (Å): 10.035 10.035 10.035
angles (deg): 127.48 127.48 77.47
Element x y z (fractional)
Ac  0.250  0.250  0.000
Ac  0.750  0.750  0.000
Tb  0.000  0.000  0.000
Tb  0.073  0.573  0.908
Tb  0.165  0.073  0.500
Tb  0.335  0.835  0.908
Tb  0.427  0.335  0.500
Tb  0.500  0.500  0.000
Tb  0.573  0.665  0.500
Tb  0.665  0.165  0.092
Tb  0.835  0.927  0.500
Tb  0.927  0.427  0.092
Pm  0.250  0.750  0.500
Pm  0.750  0.250  0.500
Sm  0.117  0.383  0.500
Sm  0.383  0.883  0.267
Sm  0.617  0.117  0.733
Sm  0.883  0.617  0.500

Top 12 peaks for 10 to 90 degrees two-theta, most intense first:
| two_theta | d/Å | Rel. int. |
| --- | --- | --- |
| 30.4 | 2.936 | 100 |
| 28.4 | 3.139 | 48 |
| 28.2 | 3.160 | 44 |
| 42.3 | 2.134 | 22 |
| 51.6 | 1.771 | 20 |
| 31.9 | 2.808 | 19 |
| 36.9 | 2.433 | 16 |
| 36.5 | 2.459 | 16 |
| 55.3 | 1.661 | 15 |
| 46.4 | 1.957 | 14 |
| 58.0 | 1.591 | 10 |
| 45.6 | 1.991 | 9 |